# 1
This entry pairs a crystal structure of YI3O11 with its simulated powder diffractogram. Radiation: Cu Kα (λ = 1.5418 Å). Structure: a structure optimized by DFT (GGA-PBE).
Kinematic intensities with the Lorentz-polarization factor, no thermal factor.

Largest 8 diffraction maxima, sorted by position, 2θ = 10–90°:
5.690 Å, 2θ = 15.57°, I = 100
5.334 Å, 2θ = 16.62°, I = 54
3.909 Å, 2θ = 22.75°, I = 54
3.352 Å, 2θ = 26.59°, I = 49
3.134 Å, 2θ = 28.48°, I = 58
3.109 Å, 2θ = 28.72°, I = 89
3.026 Å, 2θ = 29.52°, I = 53
2.833 Å, 2θ = 31.58°, I = 53

Structure:
```
YI3O11
1.0
7.384 0.000 0.000
3.256 7.092 0.000
1.091 1.394 9.325
Y I O
2 6 22
direct
0.211 0.165 0.164
0.789 0.835 0.836
0.193 0.765 0.485
0.259 0.899 0.848
0.383 0.350 0.813
0.617 0.650 0.187
0.741 0.101 0.152
0.807 0.235 0.515
0.090 0.997 0.359
0.110 0.409 0.310
0.131 0.245 0.499
0.145 0.726 0.863
0.183 0.324 0.937
0.217 0.934 0.038
0.229 0.461 0.654
0.355 0.620 0.353
0.356 0.815 0.585
0.478 0.268 0.134
0.488 0.097 0.782
0.512 0.903 0.218
0.522 0.732 0.866
0.644 0.185 0.415
0.645 0.380 0.647
0.771 0.539 0.346
0.783 0.066 0.962
0.817 0.676 0.063
0.855 0.274 0.137
0.869 0.755 0.501
0.890 0.591 0.690
0.910 0.003 0.641
```

***

# 2
This entry pairs a crystal structure of Sr3Rh with its simulated powder diffractogram. Radiation: Cu Kα (λ = 1.5418 Å). Structure: a structure optimized by DFT (GGA-PBE).
Kinematic intensities with the Lorentz-polarization factor, no thermal factor.

Largest 8 diffraction maxima, sorted by position, 2θ = 10–90°:
3.180 Å, 2θ = 28.06°, I = 100
2.928 Å, 2θ = 30.53°, I = 29
2.898 Å, 2θ = 30.85°, I = 60
2.853 Å, 2θ = 31.36°, I = 79
2.786 Å, 2θ = 32.13°, I = 50
2.667 Å, 2θ = 33.60°, I = 51
2.614 Å, 2θ = 34.30°, I = 63
1.770 Å, 2θ = 51.65°, I = 28

Structure:
```
Sr3Rh
1.0
12.962 0.000 0.000
0.000 12.962 0.000
0.000 0.000 6.789
Sr Rh
24 8
direct
0.030 0.913 0.201
0.087 0.530 0.701
0.123 0.302 0.008
0.123 0.832 0.697
0.168 0.623 0.197
0.198 0.123 0.492
0.302 0.377 0.492
0.332 0.877 0.197
0.377 0.198 0.008
0.377 0.668 0.697
0.413 0.970 0.701
0.470 0.587 0.201
0.530 0.413 0.799
0.587 0.030 0.299
0.623 0.332 0.303
0.623 0.802 0.992
0.668 0.123 0.803
0.698 0.623 0.508
0.802 0.877 0.508
0.832 0.377 0.803
0.877 0.168 0.303
0.877 0.698 0.992
0.913 0.470 0.299
0.970 0.087 0.799
0.032 0.304 0.561
0.196 0.032 0.939
0.304 0.468 0.939
0.468 0.196 0.561
0.532 0.804 0.439
0.696 0.532 0.061
0.804 0.968 0.061
0.968 0.696 0.439
```

***

# 3
This entry pairs a crystal structure of Tb3Sm3Ni4 with its simulated powder diffractogram. Radiation: Cu Kα (λ = 1.5418 Å). Structure: a structure optimized by DFT (GGA-PBE).
Kinematic intensities with the Lorentz-polarization factor, no thermal factor.

Largest 8 diffraction maxima, sorted by position, 2θ = 10–90°:
3.152 Å, 2θ = 28.32°, I = 23
2.722 Å, 2θ = 32.91°, I = 58
2.564 Å, 2θ = 35.00°, I = 100
2.418 Å, 2θ = 37.18°, I = 29
2.410 Å, 2θ = 37.32°, I = 29
1.941 Å, 2θ = 46.80°, I = 19
1.637 Å, 2θ = 56.21°, I = 11
1.513 Å, 2θ = 61.28°, I = 27

Structure:
```
Tb3Sm3Ni4
1.0
3.882 0.000 0.000
0.000 5.414 5.381
0.000 -5.414 5.381
Tb Sm Ni
3 3 4
direct
0.000 0.000 0.000
0.500 0.167 0.669
0.500 0.669 0.167
0.000 0.332 0.332
0.000 0.501 0.834
0.000 0.834 0.501
0.500 0.044 0.284
0.500 0.284 0.044
0.500 0.546 0.546
0.500 0.791 0.791
```

***

# 4
This entry pairs a crystal structure of Sr3Cd3Pb8 with its simulated powder diffractogram. Radiation: Cu Kα (λ = 1.5418 Å). Structure: a structure optimized by DFT (GGA-PBE).
Kinematic intensities with the Lorentz-polarization factor, no thermal factor.

Largest 8 diffraction maxima, sorted by position, 2θ = 10–90°:
3.134 Å, 2θ = 28.48°, I = 68
3.048 Å, 2θ = 29.30°, I = 100
2.897 Å, 2θ = 30.87°, I = 59
2.699 Å, 2θ = 33.19°, I = 71
2.507 Å, 2θ = 35.82°, I = 57
2.363 Å, 2θ = 38.09°, I = 71
2.022 Å, 2θ = 44.82°, I = 28
1.599 Å, 2θ = 57.65°, I = 29

Structure:
```
Sr3Cd3Pb8
1.0
-2.699 5.773 7.191
2.699 -5.773 7.191
2.699 5.773 -7.191
Sr Cd Pb
3 3 8
direct
0.000 0.000 0.000
0.284 0.284 0.000
0.716 0.716 0.000
0.362 0.500 0.862
0.500 0.000 0.500
0.638 0.500 0.138
0.013 0.371 0.642
0.147 0.853 0.294
0.271 0.629 0.642
0.441 0.147 0.294
0.559 0.853 0.706
0.729 0.371 0.358
0.853 0.147 0.706
0.987 0.629 0.358
```

***

# 5
This entry pairs a crystal structure of Rb3DySb2O8 with its simulated powder diffractogram. Radiation: Cu Kα (λ = 1.5418 Å). Structure: a structure optimized by DFT (GGA-PBE).
Kinematic intensities with the Lorentz-polarization factor, no thermal factor.

Largest 8 diffraction maxima, sorted by position, 2θ = 10–90°:
4.492 Å, 2θ = 19.76°, I = 17
3.239 Å, 2θ = 27.53°, I = 87
3.117 Å, 2θ = 28.64°, I = 100
2.246 Å, 2θ = 40.15°, I = 42
1.822 Å, 2θ = 50.06°, I = 33
1.800 Å, 2θ = 50.73°, I = 20
1.698 Å, 2θ = 54.01°, I = 20
1.559 Å, 2θ = 59.29°, I = 17

Structure:
```
Rb3DySb2O8
1.0
6.234 0.000 0.000
-3.117 5.399 0.000
0.000 0.000 8.099
Rb Dy Sb O
3 1 2 8
direct
0.000 0.000 0.000
0.333 0.667 0.684
0.667 0.333 0.316
0.000 0.000 0.500
0.333 0.667 0.242
0.667 0.333 0.758
0.170 0.339 0.334
0.170 0.830 0.334
0.333 0.667 0.012
0.339 0.170 0.666
0.661 0.830 0.334
0.667 0.333 0.988
0.830 0.170 0.666
0.830 0.661 0.666
```

***

# 6
This entry pairs a crystal structure of Tm3WC3 with its simulated powder diffractogram. Radiation: Cu Kα (λ = 1.5418 Å). Structure: a structure optimized by DFT (GGA-PBE).
Kinematic intensities with the Lorentz-polarization factor, no thermal factor.

Largest 8 diffraction maxima, sorted by position, 2θ = 10–90°:
2.794 Å, 2θ = 32.04°, I = 100
2.717 Å, 2θ = 32.97°, I = 19
2.598 Å, 2θ = 34.53°, I = 17
2.529 Å, 2θ = 35.50°, I = 30
2.193 Å, 2θ = 41.16°, I = 14
1.657 Å, 2θ = 55.46°, I = 12
1.506 Å, 2θ = 61.58°, I = 16
1.407 Å, 2θ = 66.46°, I = 16

Structure:
```
Tm3WC3
1.0
4.386 -5.195 0.000
4.386 5.195 0.000
0.000 0.000 5.057
Tm W C
6 2 6
direct
0.110 0.890 0.750
0.165 0.398 0.750
0.398 0.165 0.250
0.602 0.835 0.750
0.835 0.602 0.250
0.890 0.110 0.250
0.312 0.688 0.250
0.688 0.312 0.750
0.123 0.877 0.250
0.169 0.408 0.250
0.408 0.169 0.750
0.592 0.831 0.250
0.831 0.592 0.750
0.877 0.123 0.750
```

***

# 7
This entry pairs a crystal structure of TbCd2Pb3 with its simulated powder diffractogram. Radiation: Cu Kα (λ = 1.5418 Å). Structure: a structure optimized by DFT (GGA-PBE).
Kinematic intensities with the Lorentz-polarization factor, no thermal factor.

Largest 8 diffraction maxima, sorted by position, 2θ = 10–90°:
2.719 Å, 2θ = 32.95°, I = 100
2.663 Å, 2θ = 33.66°, I = 22
2.596 Å, 2θ = 34.56°, I = 22
1.993 Å, 2θ = 45.51°, I = 10
1.859 Å, 2θ = 49.01°, I = 15
1.548 Å, 2θ = 59.75°, I = 15
1.521 Å, 2θ = 60.90°, I = 17
1.359 Å, 2θ = 69.10°, I = 11

Structure:
```
TbCd2Pb3
1.0
5.191 0.000 0.000
0.000 15.975 0.000
0.000 0.000 3.986
Tb Cd Pb
2 4 6
direct
0.000 0.000 0.000
0.500 0.500 0.000
0.000 0.343 0.000
0.000 0.657 0.000
0.500 0.157 0.000
0.500 0.843 0.000
0.000 0.177 0.500
0.000 0.500 0.500
0.000 0.823 0.500
0.500 0.000 0.500
0.500 0.323 0.500
0.500 0.677 0.500
```

***

# 8
This entry pairs a crystal structure of BaNdSe2F with its simulated powder diffractogram. Radiation: Cu Kα (λ = 1.5418 Å). Structure: a structure optimized by DFT (GGA-PBE).
Kinematic intensities with the Lorentz-polarization factor, no thermal factor.

Largest 8 diffraction maxima, sorted by position, 2θ = 10–90°:
3.805 Å, 2θ = 23.38°, I = 31
3.750 Å, 2θ = 23.73°, I = 43
3.285 Å, 2θ = 27.15°, I = 25
3.047 Å, 2θ = 29.31°, I = 100
2.379 Å, 2θ = 37.82°, I = 48
2.186 Å, 2θ = 41.30°, I = 35
2.155 Å, 2θ = 41.93°, I = 48
1.362 Å, 2θ = 68.92°, I = 27

Structure:
```
BaNdSe2F
1.0
4.309 0.000 0.000
0.000 4.309 0.000
0.000 0.000 15.221
Ba Nd Se F
2 2 4 2
direct
0.250 0.250 0.104
0.750 0.750 0.896
0.250 0.250 0.619
0.750 0.750 0.381
0.250 0.250 0.409
0.250 0.250 0.797
0.750 0.750 0.203
0.750 0.750 0.591
0.250 0.750 0.000
0.750 0.250 0.000
```